Computed powder diffraction line list of PaFeNi2H8 for Cu Kα (weighted mean of Kα1 and Kα2), from a DFT-relaxed cell (GGA-PBE, Alexandria).
Intensities are scaled so that the largest is 100.

Crystal structure
```
data_PaFeNi2H8
_chemical_formula_sum 'Pa1 Fe1 Ni2 H8'
_symmetry_space_group_name_H-M 'P -3 m 1'
_symmetry_Int_Tables_number 164
_symmetry_space_group_name_Hall '-P 3 2"'
_cell_length_a 4.7230
_cell_length_b 4.7230
_cell_length_c 5.2592
_cell_angle_alpha 90.00
_cell_angle_beta 90.00
_cell_angle_gamma 120.00
loop_
_atom_site_label
_atom_site_type_symbol
_atom_site_fract_x
_atom_site_fract_y
_atom_site_fract_z
_atom_site_occupancy
Pa1 Pa 0.0000 0.0000 0.0000 1
Fe1 Fe 0.0000 0.0000 0.5000 1
Ni1 Ni 0.3333 0.6667 0.1692 1
H1 H 0.1755 0.3511 0.3614 1
H2 H 0.3333 0.6667 0.8795 1
```

Principal peaks in the range 10° ≤ 2θ ≤ 80°, in order of falling intensity:
hkl 1 0 0, 2θ 21.73, I = 100; hkl 0 1 2, 2θ 40.80, I = 92; hkl 1 1 0, 2θ 38.11, I = 87; hkl 0 1 1, 2θ 27.63, I = 64; hkl 0 0 1, 2θ 16.86, I = 62; hkl 1 1 1, 2θ 41.94, I = 43; hkl 1 2 2, 2θ 70.69, I = 36; hkl 2 0 2, 2θ 57.05, I = 35; hkl 1 1 2, 2θ 52.05, I = 20; hkl 1 0 3, 2θ 57.17, I = 17